(1)
Ho8Tc2Au: simulated powder diffractogram (a wavelength of 1.5418 Å), based on DFT lattice parameters and positions (GGA-PBE).
Intensities are scaled so that the largest is 100.

Top 10 peaks for 15° ≤ 2θ ≤ 90°, in order of falling intensity:
2θ = 35.81°, intensity 100
2θ = 32.84°, intensity 92
2θ = 32.58°, intensity 91
2θ = 31.11°, intensity 71
2θ = 32.09°, intensity 49
2θ = 39.21°, intensity 46
2θ = 30.69°, intensity 39
2θ = 39.38°, intensity 36
2θ = 36.50°, intensity 32
2θ = 55.52°, intensity 32

Structural model:
Cell lengths 8.5523, 12.7273, 5.7201 Å; angles 90.00, 107.60, 90.00 degrees
Space group Cm (No. 8)
Asymmetric unit:
Ho1 0.0000 0.0000 0.0000 (multiplicity 2)
Ho2 0.0857 0.3671 0.7909 (multiplicity 4)
Ho3 0.1759 0.1318 0.6055 (multiplicity 4)
Ho4 0.2504 0.5000 0.3927 (multiplicity 2)
Ho5 0.3805 0.2263 0.1990 (multiplicity 4)
Tc1 0.3792 0.3114 0.6947 (multiplicity 4)
Au1 0.3730 0.0000 0.3169 (multiplicity 2)


(2)
AlPCl4: simulated powder diffractogram (a wavelength of 1.5418 Å), based on DFT lattice parameters and positions (GGA-PBE).
Intensities are scaled so that the largest is 100.

Top 10 peaks for 15° ≤ 2θ ≤ 90°, in order of falling intensity:
2θ = 27.04°, intensity 100
2θ = 43.34°, intensity 29
2θ = 17.81°, intensity 23
2θ = 35.94°, intensity 19
2θ = 55.85°, intensity 19
2θ = 47.88°, intensity 15
2θ = 16.50°, intensity 10
2θ = 33.35°, intensity 9
2θ = 53.68°, intensity 8
2θ = 21.28°, intensity 8

Structural model:
Cell lengths 5.3733, 5.3733, 13.2686 Å; angles 90.00, 90.00, 90.00 degrees
Space group P-42c (No. 112)
Asymmetric unit:
Al1 0.0000 0.5000 0.2500 (multiplicity 2)
P1 0.0000 0.0000 0.0000 (multiplicity 2)
Cl1 0.2287 0.2642 0.3450 (multiplicity 8)


(3)
Dy3YIr3: simulated powder diffractogram (a wavelength of 1.5418 Å), based on DFT lattice parameters and positions (GGA-PBE).
Intensities are scaled so that the largest is 100.

Top 10 peaks for 15° ≤ 2θ ≤ 90°, in order of falling intensity:
2θ = 37.12°, intensity 100
2θ = 37.26°, intensity 99
2θ = 66.98°, intensity 54
2θ = 18.33°, intensity 36
2θ = 53.61°, intensity 35
2θ = 67.27°, intensity 18
2θ = 79.08°, intensity 11
2θ = 79.42°, intensity 11
2θ = 32.02°, intensity 11
2θ = 41.80°, intensity 9

Structural model:
Cell lengths 9.6872, 9.6872, 5.9013 Å; angles 90.00, 90.00, 120.00 degrees
Space group R-3m (No. 166, hexagonal axes)
Asymmetric unit:
Dy1 0.0000 0.5000 0.0000 (multiplicity 9)
Y1 0.0000 0.0000 0.0000 (multiplicity 3)
Ir1 0.0000 0.5000 0.5000 (multiplicity 9)